Structure and simulated PXRD pattern of InPd15 (a DFT-relaxed cell (GGA-PBE, OQMD); Cu Kα (weighted mean of Kα1 and Kα2)).
Intensities are scaled so that the largest is 1000.

Principal peaks in the range 10° ≤ 2θ ≤ 80°, in order of rising 2θ:
- 2θ = 38.50°, I 553
- 2θ = 39.94°, I 1000
- 2θ = 40.68°, I 475
- 2θ = 45.11°, I 350
- 2θ = 46.56°, I 229
- 2θ = 47.03°, I 310

Atomic structure:
Lattice parameters (Å, degrees): 4.785 35.050 4.785 90.00 109.24 90.00
Positions (direct):
In (0.000, 0.199, 0.250)
In (0.000, 0.801, 0.750)
Pd (0.000, 0.239, 0.750)
Pd (0.000, 0.281, 0.250)
Pd (0.000, 0.321, 0.750)
Pd (0.000, 0.361, 0.250)
Pd (0.000, 0.401, 0.750)
Pd (0.000, 0.440, 0.250)
Pd (0.000, 0.480, 0.750)
Pd (0.000, 0.520, 0.250)
Pd (0.000, 0.560, 0.750)
Pd (0.000, 0.599, 0.250)
Pd (0.000, 0.639, 0.750)
Pd (0.000, 0.679, 0.250)
Pd (0.000, 0.719, 0.750)
Pd (0.000, 0.761, 0.250)
Pd (0.500, 0.200, 0.750)
Pd (0.500, 0.239, 0.250)
Pd (0.500, 0.280, 0.750)
Pd (0.500, 0.321, 0.250)
Pd (0.500, 0.360, 0.750)
Pd (0.500, 0.401, 0.250)
Pd (0.500, 0.440, 0.750)
Pd (0.500, 0.480, 0.250)
Pd (0.500, 0.520, 0.750)
Pd (0.500, 0.560, 0.250)
Pd (0.500, 0.599, 0.750)
Pd (0.500, 0.640, 0.250)
Pd (0.500, 0.679, 0.750)
Pd (0.500, 0.720, 0.250)
Pd (0.500, 0.761, 0.750)
Pd (0.500, 0.800, 0.250)

=====

Structure and simulated PXRD pattern of InPd15 (a DFT-relaxed cell (GGA-PBE, OQMD); Cu Kα (weighted mean of Kα1 and Kα2)).
Intensities are scaled so that the largest is 1000.

Principal peaks in the range 10° ≤ 2θ ≤ 80°, in order of rising 2θ:
- 2θ = 39.95°, I 1000
- 2θ = 40.40°, I 313
- 2θ = 40.54°, I 311
- 2θ = 44.95°, I 377
- 2θ = 46.61°, I 374
- 2θ = 46.86°, I 426

Atomic structure:
Lattice parameters (Å, degrees): 3.899 5.537 35.315 89.98 89.79 89.93
Positions (direct):
In (0.249, 0.125, 0.201)
In (0.751, 0.875, 0.799)
Pd (0.249, 0.625, 0.202)
Pd (0.250, 0.124, 0.678)
Pd (0.250, 0.125, 0.282)
Pd (0.250, 0.125, 0.362)
Pd (0.250, 0.125, 0.441)
Pd (0.250, 0.125, 0.520)
Pd (0.250, 0.125, 0.599)
Pd (0.250, 0.126, 0.759)
Pd (0.250, 0.625, 0.282)
Pd (0.250, 0.625, 0.361)
Pd (0.250, 0.625, 0.441)
Pd (0.250, 0.625, 0.520)
Pd (0.250, 0.625, 0.599)
Pd (0.250, 0.625, 0.759)
Pd (0.250, 0.626, 0.678)
Pd (0.750, 0.374, 0.322)
Pd (0.750, 0.375, 0.241)
Pd (0.750, 0.375, 0.401)
Pd (0.750, 0.375, 0.480)
Pd (0.750, 0.375, 0.559)
Pd (0.750, 0.375, 0.639)
Pd (0.750, 0.375, 0.718)
Pd (0.750, 0.874, 0.241)
Pd (0.750, 0.875, 0.401)
Pd (0.750, 0.875, 0.480)
Pd (0.750, 0.875, 0.559)
Pd (0.750, 0.875, 0.638)
Pd (0.750, 0.875, 0.718)
Pd (0.750, 0.876, 0.322)
Pd (0.751, 0.375, 0.798)

=====

Structure and simulated PXRD pattern of InPd15 (a DFT-relaxed cell (GGA-PBE, OQMD); Cu Kα (weighted mean of Kα1 and Kα2)).
Intensities are scaled so that the largest is 1000.

Principal peaks in the range 10° ≤ 2θ ≤ 80°, in order of rising 2θ:
- 2θ = 39.15°, I 1000
- 2θ = 39.62°, I 967
- 2θ = 40.41°, I 399
- 2θ = 40.87°, I 386
- 2θ = 46.01°, I 802
- 2θ = 47.56°, I 223

Atomic structure:
Lattice parameters (Å, degrees): 2.814 5.533 43.974 90.00 90.06 90.10
Positions (direct):
In (0.249, 0.375, 0.165)
In (0.751, 0.625, 0.835)
Pd (0.250, 0.374, 0.788)
Pd (0.250, 0.375, 0.257)
Pd (0.250, 0.375, 0.345)
Pd (0.250, 0.375, 0.434)
Pd (0.250, 0.375, 0.522)
Pd (0.250, 0.375, 0.610)
Pd (0.250, 0.376, 0.699)
Pd (0.250, 0.875, 0.166)
Pd (0.250, 0.875, 0.257)
Pd (0.250, 0.875, 0.346)
Pd (0.250, 0.875, 0.434)
Pd (0.250, 0.875, 0.522)
Pd (0.250, 0.875, 0.610)
Pd (0.250, 0.875, 0.699)
Pd (0.250, 0.876, 0.788)
Pd (0.750, 0.124, 0.212)
Pd (0.750, 0.125, 0.301)
Pd (0.750, 0.125, 0.390)
Pd (0.750, 0.125, 0.478)
Pd (0.750, 0.125, 0.566)
Pd (0.750, 0.125, 0.654)
Pd (0.750, 0.125, 0.743)
Pd (0.750, 0.125, 0.834)
Pd (0.750, 0.624, 0.301)
Pd (0.750, 0.625, 0.390)
Pd (0.750, 0.625, 0.478)
Pd (0.750, 0.625, 0.566)
Pd (0.750, 0.625, 0.655)
Pd (0.750, 0.625, 0.743)
Pd (0.750, 0.626, 0.212)

=====

Structure and simulated PXRD pattern of InPd15 (a DFT-relaxed cell (GGA-PBE, OQMD); Cu Kα (weighted mean of Kα1 and Kα2)).
Intensities are scaled so that the largest is 1000.

Principal peaks in the range 10° ≤ 2θ ≤ 80°, in order of rising 2θ:
- 2θ = 38.96°, I 655
- 2θ = 39.77°, I 1000
- 2θ = 41.18°, I 356
- 2θ = 45.32°, I 423
- 2θ = 46.64°, I 230
- 2θ = 67.07°, I 330

Atomic structure:
Lattice parameters (Å, degrees): 7.790 2.789 34.470 90.00 90.00 90.00
Positions (direct):
In (0.125, 0.250, 0.195)
In (0.875, 0.750, 0.805)
Pd (0.123, 0.250, 0.682)
Pd (0.123, 0.250, 0.765)
Pd (0.125, 0.250, 0.277)
Pd (0.125, 0.250, 0.359)
Pd (0.125, 0.250, 0.440)
Pd (0.125, 0.250, 0.601)
Pd (0.126, 0.250, 0.520)
Pd (0.372, 0.750, 0.318)
Pd (0.373, 0.750, 0.235)
Pd (0.375, 0.750, 0.399)
Pd (0.375, 0.750, 0.561)
Pd (0.375, 0.750, 0.642)
Pd (0.375, 0.750, 0.722)
Pd (0.376, 0.750, 0.480)
Pd (0.376, 0.750, 0.802)
Pd (0.624, 0.250, 0.198)
Pd (0.624, 0.250, 0.520)
Pd (0.625, 0.250, 0.278)
Pd (0.625, 0.250, 0.358)
Pd (0.625, 0.250, 0.439)
Pd (0.625, 0.250, 0.601)
Pd (0.627, 0.250, 0.765)
Pd (0.628, 0.250, 0.682)
Pd (0.874, 0.750, 0.480)
Pd (0.875, 0.750, 0.399)
Pd (0.875, 0.750, 0.560)
Pd (0.875, 0.750, 0.641)
Pd (0.875, 0.750, 0.723)
Pd (0.877, 0.750, 0.235)
Pd (0.877, 0.750, 0.318)

=====

Structure and simulated PXRD pattern of InPd7 (a DFT-relaxed cell (GGA-PBE, OQMD); Cu Kα (weighted mean of Kα1 and Kα2)).
Intensities are scaled so that the largest is 1000.

Principal peaks in the range 10° ≤ 2θ ≤ 80°, in order of rising 2θ:
- 2θ = 37.45°, I 61
- 2θ = 39.64°, I 1000
- 2θ = 41.94°, I 88
- 2θ = 45.59°, I 283
- 2θ = 47.08°, I 174
- 2θ = 67.60°, I 170

Atomic structure:
Lattice parameters (Å, degrees): 2.817 3.862 33.733 90.00 90.04 90.00
Positions (direct):
In (0.250, 0.250, 0.188)
In (0.750, 0.750, 0.812)
Pd (0.250, 0.250, 0.273)
Pd (0.250, 0.250, 0.356)
Pd (0.250, 0.250, 0.438)
Pd (0.250, 0.250, 0.520)
Pd (0.250, 0.250, 0.603)
Pd (0.250, 0.250, 0.686)
Pd (0.250, 0.250, 0.771)
Pd (0.750, 0.750, 0.229)
Pd (0.750, 0.750, 0.314)
Pd (0.750, 0.750, 0.397)
Pd (0.750, 0.750, 0.480)
Pd (0.750, 0.750, 0.562)
Pd (0.750, 0.750, 0.644)
Pd (0.750, 0.750, 0.727)

=====

Structure and simulated PXRD pattern of InPd7 (a DFT-relaxed cell (GGA-PBE, OQMD); Cu Kα (weighted mean of Kα1 and Kα2)).
Intensities are scaled so that the largest is 1000.

Principal peaks in the range 10° ≤ 2θ ≤ 80°, in order of rising 2θ:
- 2θ = 39.41°, I 1000
- 2θ = 40.82°, I 179
- 2θ = 44.55°, I 441
- 2θ = 64.82°, I 141
- 2θ = 67.80°, I 179
- 2θ = 78.55°, I 191

Atomic structure:
Lattice parameters (Å, degrees): 2.877 2.877 41.439 90.04 90.04 90.02
Positions (direct):
In (0.250, 0.250, 0.158)
In (0.750, 0.750, 0.842)
Pd (0.249, 0.249, 0.522)
Pd (0.250, 0.250, 0.254)
Pd (0.250, 0.250, 0.344)
Pd (0.250, 0.250, 0.433)
Pd (0.250, 0.250, 0.612)
Pd (0.250, 0.250, 0.701)
Pd (0.250, 0.250, 0.793)
Pd (0.750, 0.750, 0.207)
Pd (0.750, 0.750, 0.299)
Pd (0.750, 0.750, 0.388)
Pd (0.750, 0.750, 0.567)
Pd (0.750, 0.750, 0.656)
Pd (0.750, 0.750, 0.746)
Pd (0.751, 0.751, 0.478)

=====

Q: What is the formula in the fourth record?
A: InPd15